Ce3SnGe3: theoretical powder X-ray diffraction pattern (λ = 1.5418 Å (Cu Kα)), based on a DFT-relaxed cell (GGA-PBE, Alexandria).
Peak positions follow from Bragg's law for the DFT cell and can differ from measured ones.

Peak list (10 most intense, 2θ = 5–70°, low angle first)
Position (°2θ)  d_spacing  I/Imax  index
11.64  7.600  34  1 0 0
20.24  4.388  25  1 1 0
25.35  3.513  24  1 1 1
27.98  3.189  34  2 0 1
30.49  2.932  99  0 0 2
31.14  2.872  100  1 2 0
34.78  2.580  87  2 1 1
35.43  2.533  64  3 0 0
44.13  2.052  77  1 2 2
47.43  1.917  56  3 0 2

Cell and atoms:
```
data_Ce3SnGe3
_symmetry_space_group_name_H-M 'P 1'
_symmetry_Int_Tables_number 1
_symmetry_space_group_name_Hall 'P 1'
_cell_length_a 8.7755
_cell_length_b 8.7755
_cell_length_c 5.8645
_cell_angle_alpha 90.00
_cell_angle_beta 90.00
_cell_angle_gamma 120.00
loop_
_atom_site_label
_atom_site_fract_x
_atom_site_fract_y
_atom_site_fract_z
Ce1 0.0845 0.3981 0.2500
Ce2 0.3136 0.9155 0.2500
Ce3 0.3981 0.3136 0.7500
Ce4 0.6019 0.6864 0.2500
Ce5 0.6864 0.0845 0.7500
Ce6 0.9155 0.6019 0.7500
Sn1 0.3333 0.6667 0.7500
Sn2 0.6667 0.3333 0.2500
Ge1 0.0606 0.3331 0.7500
Ge2 0.2724 0.9394 0.7500
Ge3 0.3331 0.2724 0.2500
Ge4 0.6669 0.7276 0.7500
Ge5 0.7276 0.0606 0.2500
Ge6 0.9394 0.6669 0.2500
```